Diffraction record for Pa2Be16Fe. The X-ray powder pattern is calculated, not measured: it uses a crystal structure in Alexandria, relaxed with PBE and Cu Kα X-rays.

Crystal structure
```
data_Pa2Be16Fe
_chemical_formula_sum 'Pa2 Be16 Fe1'
_cell_length_a 5.8473
_cell_length_b 5.8473
_cell_length_c 5.8473
_cell_angle_alpha 84.17
_cell_angle_beta 84.17
_cell_angle_gamma 84.17
_symmetry_space_group_name_H-M 'P 1'
_symmetry_Int_Tables_number 1
_symmetry_space_group_name_Hall 'P 1'
loop_
_atom_site_label
_atom_site_type_symbol
_atom_site_fract_x
_atom_site_fract_y
_atom_site_fract_z
Pa1 Pa 0.0000 0.0000 0.0000
Pa2 Pa 0.3174 0.3174 0.3174
Be1 Be 0.1480 0.6520 0.6520
Be2 Be 0.3151 0.3151 0.8074
Be3 Be 0.3151 0.8074 0.3151
Be4 Be 0.3761 0.6486 0.9183
Be5 Be 0.3761 0.9183 0.6486
Be6 Be 0.5007 0.9895 0.9895
Be7 Be 0.6486 0.3761 0.9183
Be8 Be 0.6486 0.9183 0.3761
Be9 Be 0.6520 0.1480 0.6520
Be10 Be 0.6520 0.6520 0.1480
Be11 Be 0.7456 0.7456 0.7456
Be12 Be 0.8074 0.3151 0.3151
Be13 Be 0.9183 0.3761 0.6486
Be14 Be 0.9183 0.6486 0.3761
Be15 Be 0.9895 0.5007 0.9895
Be16 Be 0.9895 0.9895 0.5007
Fe1 Fe 0.5373 0.5373 0.5373
```

Most intense lines, 10 to 90 degrees two-theta, sorted by position:
d 5.792, rel. 361
d 4.299, rel. 174
d 3.919, rel. 1000
d 3.703, rel. 188
d 2.692, rel. 568
d 2.570, rel. 183
d 2.263, rel. 279
d 1.960, rel. 209
d 1.931, rel. 261
d 1.885, rel. 160
d 1.481, rel. 139
d 1.375, rel. 164

Diffraction record for Tb2Er3Sc. The X-ray powder pattern is calculated, not measured: it uses a crystal structure in Alexandria, relaxed with PBE and Cu Kα X-rays.

Crystal structure
```
data_Tb2Er3Sc
_chemical_formula_sum 'Tb4 Er6 Sc2'
_cell_length_a 9.2138
_cell_length_b 9.2138
_cell_length_c 6.0348
_cell_angle_alpha 90.11
_cell_angle_beta 90.11
_cell_angle_gamma 44.46
_symmetry_space_group_name_H-M 'P 1'
_symmetry_Int_Tables_number 1
_symmetry_space_group_name_Hall 'P 1'
loop_
_atom_site_label
_atom_site_type_symbol
_atom_site_fract_x
_atom_site_fract_y
_atom_site_fract_z
Tb1 Tb 0.0392 0.2910 0.4148
Tb2 Tb 0.2910 0.0392 0.9148
Tb3 Tb 0.7090 0.9608 0.0852
Tb4 Tb 0.9608 0.7090 0.5852
Er1 Er 0.1281 0.8719 0.2500
Er2 Er 0.2129 0.4600 0.0803
Er3 Er 0.4600 0.2129 0.5803
Er4 Er 0.5400 0.7871 0.4197
Er5 Er 0.7871 0.5400 0.9197
Er6 Er 0.8719 0.1281 0.7500
Sc1 Sc 0.3773 0.6227 0.7500
Sc2 Sc 0.6227 0.3773 0.2500
```

Most intense lines, 10 to 90 degrees two-theta, sorted by position:
d 4.407, rel. 48
d 2.845, rel. 1000
d 2.463, rel. 500
d 1.742, rel. 353
d 1.486, rel. 310
d 1.484, rel. 102
d 1.422, rel. 119
d 1.232, rel. 37
d 1.131, rel. 119
d 1.130, rel. 57
d 1.102, rel. 81
d 1.101, rel. 54